(1)
Computed PXRD pattern
Compound: TcMoIr3
Radiation: CuKα
Structure: a cell relaxed with GGA-PBE
Lines closer than 0.1° are merged.

Structure:
a b c (Å): 4.772 4.772 8.662
angles (deg): 90.16 90.16 48.28
Sites, in units of the cell vectors:
Tc (0.052, 0.052, 0.353)
Tc (0.948, 0.948, 0.647)
Mo (0.448, 0.448, 0.152)
Mo (0.552, 0.552, 0.848)
Ir (0.148, 0.148, 0.052)
Ir (0.247, 0.247, 0.749)
Ir (0.353, 0.353, 0.445)
Ir (0.647, 0.647, 0.555)
Ir (0.753, 0.753, 0.251)
Ir (0.852, 0.852, 0.948)

Top 10 peaks for 2θ from 15° to 90°, in order of rising 2θ:
2θ/deg  intensity
40.11  96
40.18  100
46.53  32
46.63  31
46.92  31
68.00  21
68.22  30
81.93  25
82.01  13
82.43  12

---

(2)
Computed PXRD pattern
Compound: Ti4MoIr5
Radiation: CuKα
Structure: a cell relaxed with GGA-PBE
Lines closer than 0.1° are merged.

Structure:
a b c (Å): 2.890 2.890 18.041
angles (deg): 90.00 90.00 90.00
Sites, in units of the cell vectors:
Ti (0.000, 0.000, 0.098)
Ti (0.000, 0.000, 0.295)
Ti (0.000, 0.000, 0.705)
Ti (0.000, 0.000, 0.902)
Mo (0.000, 0.000, 0.500)
Ir (0.500, 0.500, 0.000)
Ir (0.500, 0.500, 0.196)
Ir (0.500, 0.500, 0.396)
Ir (0.500, 0.500, 0.604)
Ir (0.500, 0.500, 0.804)

Top 10 peaks for 2θ from 15° to 90°, in order of rising 2θ:
2θ/deg  intensity
24.67  24
30.94  28
39.97  100
44.32  38
50.59  12
51.38  15
64.48  12
69.50  19
78.62  28
86.23  11

---

(3)
Computed PXRD pattern
Compound: TiMoIr4
Radiation: CuKα
Structure: a cell relaxed with GGA-PBE
Lines closer than 0.1° are merged.

Structure:
a b c (Å): 4.804 4.804 7.758
angles (deg): 113.73 113.73 33.31
Sites, in units of the cell vectors:
Ti (0.000, 0.000, 0.000)
Mo (0.000, 0.000, 0.500)
Ir (0.333, 0.333, 0.668)
Ir (0.336, 0.336, 0.166)
Ir (0.664, 0.664, 0.834)
Ir (0.667, 0.667, 0.332)

Top 10 peaks for 2θ from 15° to 90°, in order of rising 2θ:
2θ/deg  intensity
21.27  15
25.32  22
39.85  100
40.15  98
46.37  65
46.85  32
68.05  52
81.30  26
81.90  25
82.40  12

---

(4)
Computed PXRD pattern
Compound: Ti5MoIr4
Radiation: CuKα
Structure: a cell relaxed with GGA-PBE
Lines closer than 0.1° are merged.

Structure:
a b c (Å): 3.166 3.166 15.210
angles (deg): 90.00 90.00 90.00
Sites, in units of the cell vectors:
Ti (0.000, 0.000, 0.000)
Ti (0.000, 0.000, 0.199)
Ti (0.000, 0.000, 0.401)
Ti (0.000, 0.000, 0.599)
Ti (0.000, 0.000, 0.801)
Mo (0.500, 0.500, 0.500)
Ir (0.500, 0.500, 0.098)
Ir (0.500, 0.500, 0.295)
Ir (0.500, 0.500, 0.705)
Ir (0.500, 0.500, 0.902)

Top 10 peaks for 2θ from 15° to 90°, in order of rising 2θ:
2θ/deg  intensity
28.18  44
29.36  19
40.28  54
41.15  100
50.62  18
58.28  18
65.97  9
73.82  35
75.58  16
89.31  11

---

(5)
Computed PXRD pattern
Compound: TlMo2Ir
Radiation: CuKα
Structure: a cell relaxed with GGA-PBE
Lines closer than 0.1° are merged.

Structure:
a b c (Å): 2.865 2.865 8.448
angles (deg): 90.00 90.00 90.00
Sites, in units of the cell vectors:
Tl (0.000, 0.000, 0.000)
Mo (0.000, 0.000, 0.475)
Mo (0.500, 0.500, 0.724)
Ir (0.500, 0.500, 0.271)

Top 10 peaks for 2θ from 15° to 90°, in order of rising 2θ:
2θ/deg  intensity
33.01  12
37.95  100
42.82  15
44.73  33
63.65  18
63.97  7
65.12  11
75.19  8
77.92  25
81.13  9

---

(6)
Computed PXRD pattern
Compound: VMoIr3
Radiation: CuKα
Structure: a cell relaxed with GGA-PBE
Lines closer than 0.1° are merged.

Structure:
a b c (Å): 12.510 5.424 4.414
angles (deg): 90.00 90.00 90.00
Sites, in units of the cell vectors:
V (0.052, 0.250, 0.250)
V (0.448, 0.750, 0.250)
V (0.552, 0.250, 0.750)
V (0.948, 0.750, 0.750)
Mo (0.250, 0.000, 0.225)
Mo (0.250, 0.500, 0.275)
Mo (0.750, 0.000, 0.775)
Mo (0.750, 0.500, 0.725)
Ir (0.057, 0.750, 0.250)
Ir (0.130, 0.002, 0.740)
Ir (0.130, 0.498, 0.760)
Ir (0.370, 0.502, 0.760)
Ir (0.370, 0.998, 0.740)
Ir (0.443, 0.250, 0.250)
Ir (0.557, 0.750, 0.750)
Ir (0.630, 0.002, 0.260)
Ir (0.630, 0.498, 0.240)
Ir (0.870, 0.502, 0.240)
Ir (0.870, 0.998, 0.260)
Ir (0.943, 0.250, 0.750)

Top 10 peaks for 2θ from 15° to 90°, in order of rising 2θ:
2θ/deg  intensity
27.00  22
36.10  29
39.66  32
40.89  54
41.49  85
44.84  100
69.35  33
77.23  19
83.76  40
84.11  22

---

(7)
Computed PXRD pattern
Compound: VMo2Ir3
Radiation: CuKα
Structure: a cell relaxed with GGA-PBE
Lines closer than 0.1° are merged.

Structure:
a b c (Å): 2.759 3.870 8.264
angles (deg): 90.00 90.00 90.00
Sites, in units of the cell vectors:
V (0.000, 0.000, 0.000)
Mo (0.000, 0.000, 0.331)
Mo (0.000, 0.000, 0.669)
Ir (0.500, 0.500, 0.163)
Ir (0.500, 0.500, 0.500)
Ir (0.500, 0.500, 0.837)

Top 10 peaks for 2θ from 15° to 90°, in order of rising 2θ:
2θ/deg  intensity
22.98  16
32.48  14
40.16  100
46.60  33
46.95  16
52.57  8
58.25  6
68.30  21
82.04  25
82.56  13

---

(8)
Computed PXRD pattern
Compound: MoIr2W
Radiation: CuKα
Structure: a cell relaxed with GGA-PBE
Lines closer than 0.1° are merged.

Structure:
a b c (Å): 2.765 3.934 5.557
angles (deg): 90.00 90.00 90.00
Sites, in units of the cell vectors:
Mo (0.000, 0.000, 0.000)
Ir (0.500, 0.500, 0.249)
Ir (0.500, 0.500, 0.751)
W (0.000, 0.000, 0.500)

Top 10 peaks for 2θ from 15° to 90°, in order of rising 2θ:
2θ/deg  intensity
39.72  100
39.85  99
46.15  33
46.32  65
67.45  53
81.14  26
81.27  26
81.52  25
85.59  11
85.93  11

---

What did the seventh record say?
Computed PXRD pattern
Compound: VMo2Ir3
Radiation: CuKα
Structure: a cell relaxed with GGA-PBE
Lines closer than 0.1° are merged.

Structure:
a b c (Å): 2.759 3.870 8.264
angles (deg): 90.00 90.00 90.00
Sites, in units of the cell vectors:
V (0.000, 0.000, 0.000)
Mo (0.000, 0.000, 0.331)
Mo (0.000, 0.000, 0.669)
Ir (0.500, 0.500, 0.163)
Ir (0.500, 0.500, 0.500)
Ir (0.500, 0.500, 0.837)

Top 10 peaks for 2θ from 15° to 90°, in order of rising 2θ:
2θ/deg  intensity
22.98  16
32.48  14
40.16  100
46.60  33
46.95  16
52.57  8
58.25  6
68.30  21
82.04  25
82.56  13